Starting from a PBE-relaxed structure, the PXRD pattern of K3P4H5O14 was simulated for Cu Kα (λ = 1.5418 Å).

Top 8 peaks for 2θ from 5° to 70°, sorted by position:
| Position (°2θ) | I_rel |
| --- | --- |
| 15.9 | 39 |
| 25.4 | 100 |
| 26.0 | 55 |
| 27.3 | 39 |
| 27.4 | 49 |
| 29.1 | 39 |
| 29.3 | 32 |
| 29.4 | 60 |

Cell and atoms:
Lattice parameters (Å, degrees): 9.8310 9.8310 11.1138 124.21 124.21 54.77
Fractional coordinates of all 52 atoms:
K: 0.0612 0.9388 0.7500
K: 0.2918 0.4046 0.6157
K: 0.4046 0.2918 0.1157
K: 0.5954 0.7082 0.8843
K: 0.7082 0.5954 0.3843
K: 0.9388 0.0612 0.2500
P: 0.0150 0.6265 0.3071
P: 0.2292 0.7075 0.0161
P: 0.2925 0.7708 0.4839
P: 0.3735 0.9850 0.1929
P: 0.6265 0.0150 0.8071
P: 0.7075 0.2292 0.5161
P: 0.7708 0.2925 0.9839
P: 0.9850 0.3735 0.6929
H: 0.0070 0.6497 0.9483
H: 0.2268 0.2769 0.2692
H: 0.2769 0.2268 0.7692
H: 0.3503 0.9930 0.5517
H: 0.5000 0.5000 0.0000
H: 0.5000 0.5000 0.5000
H: 0.6497 0.0070 0.4483
H: 0.7231 0.7732 0.2308
H: 0.7732 0.7231 0.7308
H: 0.9930 0.3503 0.0517
O: 0.0070 0.6409 0.4450
O: 0.0856 0.7158 0.0468
O: 0.0967 0.7662 0.3611
O: 0.1190 0.4438 0.2120
O: 0.1768 0.3007 0.8123
O: 0.1770 0.6869 0.8532
O: 0.2338 0.9033 0.1389
O: 0.2842 0.9144 0.4532
O: 0.3007 0.1768 0.3123
O: 0.3131 0.8230 0.6468
O: 0.3591 0.9930 0.0550
O: 0.4110 0.5679 0.0773
O: 0.4321 0.5890 0.4227
O: 0.4438 0.1190 0.7120
O: 0.5562 0.8810 0.2880
O: 0.5679 0.4110 0.5773
O: 0.5890 0.4321 0.9227
O: 0.6409 0.0070 0.9450
O: 0.6869 0.1770 0.3532
O: 0.6993 0.8232 0.6877
O: 0.7158 0.0856 0.5468
O: 0.7662 0.0967 0.8611
O: 0.8230 0.3131 0.1468
O: 0.8232 0.6993 0.1877
O: 0.8810 0.5562 0.7880
O: 0.9033 0.2338 0.6389
O: 0.9144 0.2842 0.9532
O: 0.9930 0.3591 0.5550